Entry 1:
Diffraction record for SrAs2Br8. The X-ray powder pattern is calculated, not measured: it uses a structure optimized by DFT (GGA-PBE) and Cu Kα (weighted mean of Kα1 and Kα2).
Kinematic intensities with the Lorentz-polarization factor, no thermal factor.

Cell and atoms:
abc: 13.1162 10.5235 7.7325
angles: 90.00 107.96 90.00
Space group C2/m (No. 12)
Asymmetric unit:
Sr 0.0000 0.0000 0.0000
As 0.1708 0.0000 0.6385
Br 0.1011 0.1855 0.7846
Br 0.1472 0.5000 0.1843
Br 0.2093 0.0000 0.3136

Largest 10 diffraction maxima, by angle, 2θ from 10° to 80°:
| d_spacing | two_theta | Rel. int. | index |
| --- | --- | --- | --- |
| 8.044 | 11.0 | 93 | 1 1 0 |
| 5.262 | 16.8 | 49 | 0 2 0 |
| 4.166 | 21.3 | 36 | 2 0 1 |
| 3.867 | 23.0 | 100 | 2 2 -1 |
| 3.678 | 24.2 | 38 | 0 0 2 |
| 3.079 | 29.0 | 68 | 3 1 1 |
| 3.031 | 29.5 | 69 | 2 2 -2 |
| 2.698 | 33.2 | 30 | 3 3 -1 |
| 2.305 | 39.1 | 36 | 4 0 -3 |
| 2.033 | 44.6 | 29 | 5 3 0 |

Entry 2:
Diffraction record for Ce3In2C. The X-ray powder pattern is calculated, not measured: it uses a structure optimized by DFT (GGA-PBE) and Cu Kα (weighted mean of Kα1 and Kα2).
Kinematic intensities with the Lorentz-polarization factor, no thermal factor.

Cell and atoms:
abc: 8.2805 8.2805 8.2805
angles: 90.00 90.00 90.00
Space group P4_132 (No. 213)
Asymmetric unit:
Ce 0.0383 0.1250 0.7883
In 0.0709 0.9291 0.4291
C 0.1250 0.3750 0.6250

Largest 10 diffraction maxima, by angle, 2θ from 10° to 80°:
| d_spacing | two_theta | Rel. int. | index |
| --- | --- | --- | --- |
| 2.760 | 32.4 | 100 | 2 2 1 |
| 2.619 | 34.2 | 59 | 3 1 0 |
| 2.497 | 36.0 | 18 | 3 1 1 |
| 2.213 | 40.8 | 8 | 3 2 1 |
| 1.852 | 49.2 | 10 | 4 2 0 |
| 1.624 | 56.7 | 25 | 4 3 1 |
| 1.594 | 57.9 | 7 | 5 1 1 |
| 1.538 | 60.2 | 26 | 5 2 0 |
| 1.400 | 66.8 | 7 | 5 3 1 |
| 1.380 | 67.9 | 7 | 4 4 2 |

Entry 3:
Diffraction record for IrF3. The X-ray powder pattern is calculated, not measured: it uses a structure optimized by DFT (GGA-PBE) and Cu Kα (weighted mean of Kα1 and Kα2).
Kinematic intensities with the Lorentz-polarization factor, no thermal factor.

Cell and atoms:
abc: 5.0433 5.0433 13.9578
angles: 90.00 90.00 120.00
Space group R-3c (No. 167, hexagonal axes)
Asymmetric unit:
Ir 0.0000 0.0000 0.0000
F 0.0000 0.3374 0.2500

Largest 10 diffraction maxima, by angle, 2θ from 10° to 80°:
| d_spacing | two_theta | Rel. int. | index |
| --- | --- | --- | --- |
| 3.702 | 24.0 | 100 | 0 1 2 |
| 2.726 | 32.9 | 45 | 1 0 4 |
| 2.522 | 35.6 | 26 | 1 1 0 |
| 2.084 | 43.4 | 21 | 2 0 2 |
| 1.851 | 49.2 | 15 | 0 2 4 |
| 1.710 | 53.6 | 30 | 1 1 6 |
| 1.620 | 56.8 | 10 | 0 1 8 |
| 1.606 | 57.4 | 19 | 1 2 2 |
| 1.492 | 62.2 | 15 | 2 1 4 |
| 1.456 | 63.9 | 11 | 3 0 0 |

Entry 4:
Diffraction record for NaNb6O15F. The X-ray powder pattern is calculated, not measured: it uses a structure optimized by DFT (GGA-PBE) and Cu Kα (weighted mean of Kα1 and Kα2).
Kinematic intensities with the Lorentz-polarization factor, no thermal factor.

Cell and atoms:
abc: 3.9503 10.5109 14.9624
angles: 90.00 90.00 90.00
Space group Amm2 (No. 38)
Asymmetric unit:
Na 0.0000 0.0000 0.0000
Nb 0.5000 0.0000 0.1867
Nb 0.5000 0.0000 0.4049
Nb 0.5000 0.1795 0.8469
Nb 0.5000 0.1836 0.5930
O 0.0000 0.0000 0.1807
O 0.0000 0.1749 0.5887
O 0.0000 0.1759 0.8641
O 0.5000 0.0000 0.5406
O 0.5000 0.0000 0.8907
O 0.5000 0.1189 0.2949
O 0.5000 0.1332 0.0909
O 0.5000 0.1512 0.7211
O 0.5000 0.1870 0.4478
F 0.0000 0.0000 0.4031

Largest 10 diffraction maxima, by angle, 2θ from 10° to 80°:
| d_spacing | two_theta | Rel. int. | index |
| --- | --- | --- | --- |
| 3.950 | 22.5 | 100 | 1 0 0 |
| 3.741 | 23.8 | 36 | 0 0 4 |
| 3.411 | 26.1 | 69 | 0 3 1 |
| 3.047 | 29.3 | 36 | 0 2 4 |
| 2.716 | 33.0 | 18 | 1 0 4 |
| 2.582 | 34.7 | 30 | 1 3 1 |
| 2.413 | 37.3 | 17 | 1 2 4 |
| 1.975 | 46.0 | 31 | 2 0 0 |
| 1.709 | 53.6 | 17 | 2 3 1 |
| 1.657 | 55.4 | 18 | 2 2 4 |